Structure and simulated X-ray powder pattern of GdTm2Hg (a cell relaxed with GGA-PBE; Cu Ka).
Lines closer than 0.1° are merged.

Crystal structure
```
data_GdTm2Hg
_cell_length_a 5.3938
_cell_length_b 7.2153
_cell_length_c 11.3862
_cell_angle_alpha 90.00
_cell_angle_beta 90.00
_cell_angle_gamma 90.00
_symmetry_space_group_name_H-M 'A m m 2'
_symmetry_Int_Tables_number 38
_symmetry_space_group_name_Hall 'A 2 -2'
loop_
_atom_site_label
_atom_site_type_symbol
_atom_site_fract_x
_atom_site_fract_y
_atom_site_fract_z
Gd1 Gd 0.0000 0.0000 0.0000
Gd2 Gd 0.5000 0.0000 0.3131
Tm1 Tm 0.0000 0.0000 0.5065
Tm2 Tm 0.5000 0.0000 0.8119
Tm3 Tm 0.5000 0.2458 0.0686
Hg1 Hg 0.0000 0.2439 0.7434
```

Principal peaks in the range 2θ = 15–90°, in order of rising 2θ:
3.047 Å, 2θ = 29.31°, rel. 15; 2.847 Å, 2θ = 31.43°, rel. 16; 2.697 Å, 2θ = 33.22°, rel. 32; 2.653 Å, 2θ = 33.78°, rel. 100; 2.517 Å, 2θ = 35.66°, rel. 29; 1.680 Å, 2θ = 54.65°, rel. 14; 1.548 Å, 2θ = 59.72°, rel. 20; 1.426 Å, 2θ = 65.47°, rel. 16